# 1
The following is a theoretical X-ray diffraction stick pattern of CaLa2CCl. It was derived from a structure optimized by DFT (PBE), using Cu Kα (λ = 1.5418 Å).
No peak broadening, texture or thermal motion is included.

Most intense lines, 2θ from 15° to 90°, low angle first:
2θ (°)  I_rel  h k l
24.08  45  0 0 2
25.95  18  1 1 0
28.66  100  1 1 1
35.69  16  1 1 2
37.02  28  2 0 0
44.65  33  2 0 2
45.30  28  1 1 3
61.69  22  3 1 1

Structure:
Unit cell a=4.8565 b=4.8565 c=7.3907 alpha=90.00 beta=90.00 gamma=90.00
Space group P4/mmm (No. 123)
One atom of each set of equivalent atoms:
Ca 0.0000 0.0000 0.0000 (multiplicity 1)
La 0.0000 0.5000 0.5000 (multiplicity 2)
C 0.5000 0.5000 0.5000 (multiplicity 1)
Cl 0.5000 0.5000 0.0000 (multiplicity 1)

# 2
The following is a theoretical X-ray diffraction stick pattern of CaCoC. It was derived from a structure optimized by DFT (PBE), using Cu Kα (λ = 1.5418 Å).
No peak broadening, texture or thermal motion is included.

Most intense lines, 2θ from 15° to 90°, low angle first:
2θ (°)  I_rel  h k l
19.17  16  0 0 3
34.59  100  0 1 2
38.90  29  0 0 6
41.47  75  1 0 4
57.07  29  1 1 0
63.03  16  0 1 8
68.48  12  2 0 2
71.23  25  1 1 6

Structure:
Unit cell a=3.2276 b=3.2276 c=13.8905 alpha=90.00 beta=90.00 gamma=120.00
Space group R3m (No. 160, hexagonal axes)
One atom of each set of equivalent atoms:
Ca 0.0000 0.0000 0.0000 (multiplicity 3)
Co 0.0000 0.0000 0.5035 (multiplicity 3)
C 0.0000 0.0000 0.2048 (multiplicity 3)

# 3
The following is a theoretical X-ray diffraction stick pattern of CaCr2C3. It was derived from a structure optimized by DFT (PBE), using Cu Kα (λ = 1.5418 Å).
No peak broadening, texture or thermal motion is included.

Most intense lines, 2θ from 15° to 90°, low angle first:
2θ (°)  I_rel  h k l
18.24  100  0 2 0
30.84  27  1 3 0
33.25  60  2 2 0
35.81  29  1 3 1
36.96  26  0 4 0
40.55  46  0 2 2
45.85  35  2 0 2
63.79  20  3 3 2

Structure:
Unit cell a=6.4724 b=9.7276 c=5.0033 alpha=90.00 beta=90.00 gamma=90.00
Space group Cmcm (No. 63)
One atom of each set of equivalent atoms:
Ca 0.0000 0.2103 0.2500 (multiplicity 4)
Cr 0.1910 0.5000 0.0000 (multiplicity 8)
C 0.0000 0.4169 0.7500 (multiplicity 4)
C 0.1108 0.0752 0.7500 (multiplicity 8)

# 4
The following is a theoretical X-ray diffraction stick pattern of CaCuC. It was derived from a structure optimized by DFT (PBE), using Cu Kα (λ = 1.5418 Å).
No peak broadening, texture or thermal motion is included.

Most intense lines, 2θ from 15° to 90°, low angle first:
2θ (°)  I_rel  h k l
23.63  24  1 0 0
33.66  100  1 1 0
33.83  64  1 0 2
43.63  30  1 0 3
48.34  33  2 0 0
50.21  19  1 1 3
54.96  22  1 0 4
60.30  22  2 1 2

Structure:
Unit cell a=3.7657 b=3.7657 c=7.4572 alpha=90.00 beta=90.00 gamma=90.00
Space group P4/mmm (No. 123)
One atom of each set of equivalent atoms:
Ca 0.0000 0.0000 0.0000 (multiplicity 1)
Ca 0.0000 0.0000 0.5000 (multiplicity 1)
Cu 0.5000 0.5000 0.1638 (multiplicity 2)
C 0.5000 0.5000 0.4129 (multiplicity 2)

# 5
The following is a theoretical X-ray diffraction stick pattern of CaCuC3. It was derived from a structure optimized by DFT (PBE), using Cu Kα (λ = 1.5418 Å).
No peak broadening, texture or thermal motion is included.

Most intense lines, 2θ from 15° to 90°, low angle first:
2θ (°)  I_rel  h k l
22.50  18  1 0 0
32.03  100  1 1 0
45.93  34  2 0 0
51.72  7  2 1 0
57.09  36  2 1 1
66.98  19  2 2 0
76.18  14  3 1 0
85.03  6  2 2 2

Structure:
Unit cell a=3.9519 b=3.9519 c=3.9519 alpha=90.00 beta=90.00 gamma=90.00
Space group Pm-3m (No. 221)
One atom of each set of equivalent atoms:
Ca 0.0000 0.0000 0.0000 (multiplicity 1)
Cu 0.5000 0.5000 0.5000 (multiplicity 1)
C 0.0000 0.5000 0.5000 (multiplicity 3)

# 6
The following is a theoretical X-ray diffraction stick pattern of Ca2CuCO5. It was derived from a structure optimized by DFT (PBE), using Cu Kα (λ = 1.5418 Å).
No peak broadening, texture or thermal motion is included.

Most intense lines, 2θ from 15° to 90°, low angle first:
2θ (°)  I_rel  h k l
31.68  100  0 2 1
32.15  92  1 0 1
35.60  81  1 2 0
41.72  27  0 1 2
42.53  29  0 3 1
51.87  27  2 0 0
54.39  38  1 2 2
62.07  37  2 2 1

Structure:
Unit cell a=3.5255 b=7.2170 c=4.5392 alpha=90.00 beta=90.00 gamma=90.00
Space group Pmm2 (No. 25)
One atom of each set of equivalent atoms:
Ca 0.0000 0.2201 0.0000 (multiplicity 2)
Cu 0.5000 0.0000 0.4840 (multiplicity 1)
C 0.5000 0.5000 0.4587 (multiplicity 1)
O 0.0000 0.0000 0.3917 (multiplicity 1)
O 0.5000 0.0000 0.9166 (multiplicity 1)
O 0.5000 0.3442 0.3145 (multiplicity 2)
O 0.5000 0.5000 0.7446 (multiplicity 1)

# 7
The following is a theoretical X-ray diffraction stick pattern of CaCuRh2C. It was derived from a structure optimized by DFT (PBE), using Cu Kα (λ = 1.5418 Å).
No peak broadening, texture or thermal motion is included.

Most intense lines, 2θ from 15° to 90°, low angle first:
2θ (°)  I_rel  h k l
21.33  14  0 0 1
37.54  100  1 1 1
43.45  18  0 0 2
43.71  36  2 0 0
63.33  23  2 0 2
63.54  11  2 2 0
75.82  12  1 1 3
76.20  23  3 1 1

Structure:
Unit cell a=4.1415 b=4.1415 c=4.1657 alpha=90.00 beta=90.00 gamma=90.00
Space group P4/mmm (No. 123)
One atom of each set of equivalent atoms:
Ca 0.0000 0.0000 0.0000 (multiplicity 1)
Cu 0.5000 0.5000 0.0000 (multiplicity 1)
Rh 0.0000 0.5000 0.5000 (multiplicity 2)
C 0.5000 0.5000 0.5000 (multiplicity 1)

# 8
The following is a theoretical X-ray diffraction stick pattern of CaDy2C. It was derived from a structure optimized by DFT (PBE), using Cu Kα (λ = 1.5418 Å).
No peak broadening, texture or thermal motion is included.

Most intense lines, 2θ from 15° to 90°, low angle first:
2θ (°)  I_rel  h k l
28.52  30  0 0 3
29.89  100  1 0 1
34.26  88  0 1 2
40.62  19  0 1 3
48.34  21  1 0 4
50.10  26  1 1 0
57.09  18  1 0 5
58.67  23  1 1 3

Structure:
Unit cell a=3.6414 b=3.6414 c=9.3876 alpha=90.00 beta=90.00 gamma=120.00
Space group P-3m1 (No. 164)
One atom of each set of equivalent atoms:
Ca 0.0000 0.0000 0.0000 (multiplicity 1)
Dy 0.3333 0.6667 0.6419 (multiplicity 2)
C 0.0000 0.0000 0.5000 (multiplicity 1)

# 9
The following is a theoretical X-ray diffraction stick pattern of CaHf2CF. It was derived from a structure optimized by DFT (PBE), using Cu Kα (λ = 1.5418 Å).
No peak broadening, texture or thermal motion is included.

Most intense lines, 2θ from 15° to 90°, low angle first:
2θ (°)  I_rel  h k l
26.74  47  0 0 2
29.73  30  1 1 0
32.69  100  1 1 1
40.41  27  1 1 2
42.55  27  2 0 0
44.77  24  2 0 1
50.97  31  2 0 2
51.12  28  1 1 3

Structure:
Unit cell a=4.2492 b=4.2492 c=6.6683 alpha=90.00 beta=90.00 gamma=90.00
Space group P4/mmm (No. 123)
One atom of each set of equivalent atoms:
Ca 0.0000 0.0000 0.0000 (multiplicity 1)
Hf 0.0000 0.5000 0.5000 (multiplicity 2)
C 0.5000 0.5000 0.5000 (multiplicity 1)
F 0.5000 0.5000 0.0000 (multiplicity 1)

# 10
The following is a theoretical X-ray diffraction stick pattern of Ca2CO3F2. It was derived from a structure optimized by DFT (PBE), using Cu Kα (λ = 1.5418 Å).
No peak broadening, texture or thermal motion is included.

Most intense lines, 2θ from 15° to 90°, low angle first:
2θ (°)  I_rel  h k l
29.16  77  2 1 1
29.53  55  1 2 1
31.40  100  1 1 2
35.42  61  2 0 2
37.63  50  1 3 0
39.29  54  3 1 1
48.80  50  1 2 3
50.72  60  3 3 0

Structure:
Unit cell a=7.7368 b=7.5397 c=6.7078 alpha=90.00 beta=90.00 gamma=90.00
Space group Pbcn (No. 60)
One atom of each set of equivalent atoms:
Ca 0.1727 0.1633 0.0390 (multiplicity 8)
C 0.0000 0.4663 0.7500 (multiplicity 4)
O 0.0000 0.2929 0.7500 (multiplicity 4)
O 0.1293 0.4497 0.1727 (multiplicity 8)
F 0.1215 0.1208 0.3968 (multiplicity 8)

# 11
The following is a theoretical X-ray diffraction stick pattern of RbCaCO3F. It was derived from a structure optimized by DFT (PBE), using Cu Kα (λ = 1.5418 Å).
No peak broadening, texture or thermal motion is included.

Most intense lines, 2θ from 15° to 90°, low angle first:
2θ (°)  I_rel  h k l
19.09  20  1 1 0
27.60  100  1 1 1
29.35  22  2 1 0
33.38  32  3 0 0
35.63  22  2 1 1
40.12  25  0 0 2
40.39  17  3 1 0
65.42  16  1 1 3

Structure:
Unit cell a=9.2977 b=9.2977 c=4.4949 alpha=90.00 beta=90.00 gamma=120.00
Space group P-62m (No. 189)
One atom of each set of equivalent atoms:
Rb 0.0000 0.7164 0.0000 (multiplicity 3)
Ca 0.0000 0.3856 0.5000 (multiplicity 3)
C 0.0000 0.0000 0.5000 (multiplicity 1)
C 0.3333 0.6667 0.5000 (multiplicity 2)
O 0.0000 0.1395 0.5000 (multiplicity 3)
O 0.2051 0.6879 0.5000 (multiplicity 6)
F 0.0000 0.3829 0.0000 (multiplicity 3)

What did the ninth record say?
The following is a theoretical X-ray diffraction stick pattern of CaHf2CF. It was derived from a structure optimized by DFT (PBE), using Cu Kα (λ = 1.5418 Å).
No peak broadening, texture or thermal motion is included.

Most intense lines, 2θ from 15° to 90°, low angle first:
2θ (°)  I_rel  h k l
26.74  47  0 0 2
29.73  30  1 1 0
32.69  100  1 1 1
40.41  27  1 1 2
42.55  27  2 0 0
44.77  24  2 0 1
50.97  31  2 0 2
51.12  28  1 1 3

Structure:
Unit cell a=4.2492 b=4.2492 c=6.6683 alpha=90.00 beta=90.00 gamma=90.00
Space group P4/mmm (No. 123)
One atom of each set of equivalent atoms:
Ca 0.0000 0.0000 0.0000 (multiplicity 1)
Hf 0.0000 0.5000 0.5000 (multiplicity 2)
C 0.5000 0.5000 0.5000 (multiplicity 1)
F 0.5000 0.5000 0.0000 (multiplicity 1)